Starting from the GGA-PBE geometry in Alexandria, the powder diffraction line list of Li7PtAu2 was computed for Cu Kα X-rays.
No peak broadening, texture or thermal motion is included.

Most intense lines, 2θ = 15–90°, in order of rising 2θ:
d_spacing	2θ/deg	I/Imax	h k l
4.911	18.06	21	0 0 2
3.516	25.33	100	1 0 1
2.988	29.90	47	0 1 2
2.471	36.36	31	1 0 3
2.174	41.54	34	1 1 0
2.057	44.02	27	0 1 4
1.988	45.63	12	1 1 2
1.849	49.28	17	0 2 1
1.458	63.86	16	1 1 5
1.409	66.36	14	2 1 1

```
data_Li7PtAu2
_space_group_name_H-M_alt 'P 3 m 1'
_space_group_IT_number 156
_cell_length_a 4.3484
_cell_length_b 4.3484
_cell_length_c 9.8229
_cell_angle_alpha 90.00
_cell_angle_beta 90.00
_cell_angle_gamma 120.00
loop_
_space_group_symop_operation_xyz
'x,y,z'
'-y,x-y,z'
'-x+y,-x,z'
'-y,-x,z'
'-x+y,y,z'
'x,x-y,z'
loop_
_atom_site_label
_atom_site_type_symbol
_atom_site_fract_x
_atom_site_fract_y
_atom_site_fract_z
Li1 Li 0.0000 0.0000 0.0000
Li2 Li 0.0000 0.0000 0.2373
Li3 Li 0.0000 0.0000 0.4900
Li4 Li 0.3333 0.6667 0.0647
Li5 Li 0.3333 0.6667 0.6438
Li6 Li 0.6667 0.3333 0.4136
Li7 Li 0.6667 0.3333 0.8555
Pt1 Pt 0.6667 0.3333 0.1400
Au1 Au 0.0000 0.0000 0.7442
Au2 Au 0.3333 0.6667 0.3424
```


Starting from the GGA-PBE geometry in Alexandria, the powder diffraction line list of MgFe4B4 was computed for Cu Kα X-rays.
No peak broadening, texture or thermal motion is included.

Most intense lines, 2θ = 15–90°, in order of rising 2θ:
d_spacing	2θ/deg	I/Imax	h k l
4.774	18.58	100	1 1 0
3.022	29.56	31	1 1 1
2.388	37.67	89	1 2 1
2.135	42.33	65	3 1 0
2.036	44.49	49	2 2 1
1.874	48.58	72	1 0 2
1.688	54.34	58	4 0 0
1.474	63.05	32	3 0 2
1.194	80.44	28	4 4 0
1.110	87.93	29	3 4 2

```
data_MgFe4B4
_space_group_name_H-M_alt 'P 42/n'
_space_group_IT_number 86
_cell_length_a 6.752
_cell_length_b 6.752
_cell_length_c 3.903
_cell_angle_alpha 90.00
_cell_angle_beta 90.00
_cell_angle_gamma 90.00
loop_
_space_group_symop_operation_xyz
'x,y,z'
'-x,-y,-z'
'-y,x+1/2,z+1/2'
'y,-x+1/2,-z+1/2'
'-x+1/2,-y+1/2,z'
'x+1/2,y+1/2,-z'
'y+1/2,-x,z+1/2'
'-y+1/2,x,-z+1/2'
loop_
_atom_site_label
_atom_site_type_symbol
_atom_site_fract_x
_atom_site_fract_y
_atom_site_fract_z
Mg1 Mg 0.250 0.250 0.250
Fe1 Fe 0.120 0.877 0.128
B1 B 0.070 0.573 0.135
```


Starting from the GGA-PBE geometry in Alexandria, the powder diffraction line list of Cu6PtO12 was computed for Cu Kα X-rays.
No peak broadening, texture or thermal motion is included.

Most intense lines, 2θ = 15–90°, in order of rising 2θ:
d_spacing	2θ/deg	I/Imax	h k l
5.623	15.76	14	1 0 1
3.579	24.88	16	0 1 2
3.534	25.20	21	0 2 1
2.790	32.08	100	3 -1 1
2.679	33.45	23	0 0 3
2.391	37.62	32	1 2 2
1.718	53.34	34	4 1 0
1.665	55.16	26	3 -1 4
1.463	63.62	12	2 4 1
1.446	64.44	22	5 -4 3

```
data_Cu6PtO12
_space_group_name_H-M_alt 'R -3'
_space_group_IT_number 148
_space_group_name_Hall '-R 3'
_cell_length_a 9.0882
_cell_length_b 9.0882
_cell_length_c 8.0375
_cell_angle_alpha 90.00
_cell_angle_beta 90.00
_cell_angle_gamma 120.00
loop_
_atom_site_label
_atom_site_type_symbol
_atom_site_fract_x
_atom_site_fract_y
_atom_site_fract_z
Cu1 Cu 0.0272 0.7885 0.1445
Pt1 Pt 0.0000 0.0000 0.5000
O1 O 0.0134 0.7958 0.8969
O2 O 0.0206 0.8253 0.3760
```


Starting from the GGA-PBE geometry in Alexandria, the powder diffraction line list of La4PmTm15 was computed for Cu Kα X-rays.
No peak broadening, texture or thermal motion is included.

Most intense lines, 2θ = 15–90°, in order of rising 2θ:
d_spacing	2θ/deg	I/Imax	h k l
2.901	30.83	100	1 1 5
2.520	35.63	34	2 0 0
2.497	35.97	17	0 0 10
1.782	51.28	12	2 2 0
1.773	51.53	24	2 0 10
1.518	61.04	29	3 1 5
1.508	61.49	14	1 1 15
1.450	64.22	12	2 2 10
1.156	83.69	6	3 3 5
1.151	84.10	12	3 1 15

```
data_La4PmTm15
_space_group_name_H-M_alt 'P 4/m m m'
_space_group_IT_number 123
_space_group_name_Hall '-P 4 2'
_cell_length_a 5.039
_cell_length_b 5.039
_cell_length_c 24.965
_cell_angle_alpha 90.00
_cell_angle_beta 90.00
_cell_angle_gamma 90.00
loop_
_atom_site_label
_atom_site_type_symbol
_atom_site_fract_x
_atom_site_fract_y
_atom_site_fract_z
La1 La 0.000 0.000 0.100
La2 La 0.000 0.000 0.300
Pm1 Pm 0.000 0.000 0.500
Tm1 Tm 0.000 0.500 0.000
Tm2 Tm 0.000 0.500 0.201
Tm3 Tm 0.000 0.500 0.402
Tm4 Tm 0.500 0.500 0.100
Tm5 Tm 0.500 0.500 0.301
Tm6 Tm 0.500 0.500 0.500
```


Starting from the GGA-PBE geometry in Alexandria, the powder diffraction line list of LuZrAg2 was computed for Cu Kα X-rays.
No peak broadening, texture or thermal motion is included.

Most intense lines, 2θ = 15–90°, in order of rising 2θ:
d_spacing	2θ/deg	I/Imax	h k l
2.487	36.12	51	2 0 0
2.474	36.31	100	1 1 1
1.759	52.00	17	2 2 0
1.741	52.57	8	0 0 2
1.433	65.07	35	3 1 1
1.426	65.44	17	2 0 2
1.237	77.09	11	2 2 2
1.112	87.76	8	4 2 0
1.111	87.87	8	3 3 1
1.102	88.77	8	1 1 3

```
data_LuZrAg2
_space_group_name_H-M_alt 'P 4/m m m'
_space_group_IT_number 123
_space_group_name_Hall '-P 4 2'
_cell_length_a 4.974
_cell_length_b 4.974
_cell_length_c 3.482
_cell_angle_alpha 90.00
_cell_angle_beta 90.00
_cell_angle_gamma 90.00
loop_
_atom_site_label
_atom_site_type_symbol
_atom_site_fract_x
_atom_site_fract_y
_atom_site_fract_z
Lu1 Lu 0.000 0.000 0.000
Zr1 Zr 0.500 0.500 0.000
Ag1 Ag 0.000 0.500 0.500
```


Starting from the GGA-PBE geometry in Alexandria, the powder diffraction line list of Na5B7C3 was computed for Cu Kα X-rays.
No peak broadening, texture or thermal motion is included.

Most intense lines, 2θ = 15–90°, in order of rising 2θ:
d_spacing	2θ/deg	I/Imax	h k l
2.579	34.78	12	0 2 0
2.461	36.50	16	5 1 -2
2.213	40.77	49	0 2 2
2.155	41.92	39	0 0 4
2.138	42.28	100	5 1 0
1.622	56.77	9	5 1 2
1.465	63.48	18	5 3 -2
1.241	76.81	13	5 1 4
1.212	79.01	17	5 3 2
1.183	81.30	9	10 2 -2

```
data_Na5B7C3
_space_group_name_H-M_alt 'C 1 2/c 1'
_space_group_IT_number 15
_cell_length_a 14.004
_cell_length_b 5.159
_cell_length_c 10.283
_cell_angle_alpha 90.00
_cell_angle_beta 123.03
_cell_angle_gamma 90.00
loop_
_space_group_symop_operation_xyz
'x,y,z'
'-x,-y,-z'
'-x,y,-z+1/2'
'x,-y,z+1/2'
'x+1/2,y+1/2,z'
'-x+1/2,-y+1/2,-z'
'-x+1/2,y+1/2,-z+1/2'
'x+1/2,-y+1/2,z+1/2'
loop_
_atom_site_label
_atom_site_type_symbol
_atom_site_fract_x
_atom_site_fract_y
_atom_site_fract_z
Na1 Na 0.000 0.000 0.000
Na2 Na 0.101 0.498 0.001
Na3 Na 0.200 0.001 0.001
B1 B 0.000 0.134 0.250
B2 B 0.097 0.350 0.250
B3 B 0.101 0.320 0.750
B4 B 0.203 0.151 0.250
C1 C 0.000 0.161 0.750
C2 C 0.202 0.161 0.750
```


Starting from the GGA-PBE geometry in Alexandria, the powder diffraction line list of Ba2Al3Hg5 was computed for Cu Kα X-rays.
No peak broadening, texture or thermal motion is included.

Most intense lines, 2θ = 15–90°, in order of rising 2θ:
d_spacing	2θ/deg	I/Imax	h k l
3.733	23.84	24	1 0 2
3.069	29.10	17	1 0 3
2.936	30.45	100	1 1 2
2.578	34.79	15	1 1 3
2.377	37.85	46	2 0 0
2.244	40.19	21	1 1 4
2.150	42.02	18	1 0 5
1.681	54.60	16	2 2 0
1.595	57.82	14	2 1 5
1.459	63.81	25	3 1 2

```
data_Ba2Al3Hg5
_space_group_name_H-M_alt 'P -4 m 2'
_space_group_IT_number 115
_cell_length_a 4.754
_cell_length_b 4.754
_cell_length_c 12.055
_cell_angle_alpha 90.00
_cell_angle_beta 90.00
_cell_angle_gamma 90.00
loop_
_space_group_symop_operation_xyz
'x,y,z'
'y,-x,-z'
'-x,-y,z'
'-y,x,-z'
'-x,y,z'
'-y,-x,-z'
'x,-y,z'
'y,x,-z'
loop_
_atom_site_label
_atom_site_type_symbol
_atom_site_fract_x
_atom_site_fract_y
_atom_site_fract_z
Ba1 Ba 0.000 0.500 0.240
Al1 Al 0.000 0.000 0.000
Al2 Al 0.000 0.500 0.884
Hg1 Hg 0.000 0.000 0.500
Hg2 Hg 0.000 0.500 0.659
Hg3 Hg 0.500 0.500 0.000
Hg4 Hg 0.500 0.500 0.500
```


Starting from the GGA-PBE geometry in Alexandria, the powder diffraction line list of Ba2InSnO6 was computed for Cu Kα X-rays.
No peak broadening, texture or thermal motion is included.

Most intense lines, 2θ = 15–90°, in order of rising 2θ:
d_spacing	2θ/deg	I/Imax	h k l
3.006	29.72	100	2 2 0
2.454	36.61	3	2 2 2
2.126	42.53	30	4 0 0
1.736	52.74	41	4 2 2
1.503	61.72	19	4 4 0
1.344	69.98	18	6 2 0
1.282	73.95	1	6 2 2
1.227	77.83	6	4 4 4
1.136	85.45	22	6 4 2

```
data_Ba2InSnO6
_space_group_name_H-M_alt 'F m -3 m'
_space_group_IT_number 225
_space_group_name_Hall '-F 4 2 3'
_cell_length_a 8.503
_cell_length_b 8.503
_cell_length_c 8.503
_cell_angle_alpha 90.00
_cell_angle_beta 90.00
_cell_angle_gamma 90.00
loop_
_atom_site_label
_atom_site_type_symbol
_atom_site_fract_x
_atom_site_fract_y
_atom_site_fract_z
Ba1 Ba 0.250 0.250 0.250
In1 In 0.000 0.000 0.000
Sn1 Sn 0.000 0.000 0.500
O1 O 0.000 0.000 0.255
```